(1)
The following is a simulated powder diffraction line list of GdHoCo2Sn. It was derived from a structure optimized by DFT (PBE), using Cu Kα X-rays.

Top 6 peaks for 10° ≤ 2θ ≤ 90°, low angle first:
| (hkl) | d [Å] | 2θ (°) | intensity |
| --- | --- | --- | --- |
| 0 1 3 | 2.938 | 30.4 | 43.5 |
| 1 1 1 | 2.657 | 33.7 | 100.0 |
| 1 0 4 | 2.567 | 35.0 | 76.7 |
| 1 1 3 | 2.333 | 38.6 | 31.3 |
| 0 1 5 | 2.238 | 40.3 | 31.0 |
| 1 2 4 | 1.532 | 60.4 | 31.6 |

Cell and atoms:
abc: 3.8395 3.8175 13.8080
angles: 90.00 90.00 90.00
Space group Amm2 (No. 38)
Unique sites:
Gd 0.0000 0.0000 0.0000 (multiplicity 2)
Ho 0.0000 0.0000 0.7248 (multiplicity 2)
Co 0.5000 0.0000 0.1602 (multiplicity 2)
Co 0.5000 0.0000 0.5673 (multiplicity 2)
Sn 0.5000 0.0000 0.3613 (multiplicity 2)



(2)
The following is a simulated powder diffraction line list of KNbCl3. It was derived from a structure optimized by DFT (PBE), using Cu Kα X-rays.

Top 6 peaks for 10° ≤ 2θ ≤ 90°, low angle first:
| (hkl) | d [Å] | 2θ (°) | intensity |
| --- | --- | --- | --- |
| 0 0 3 | 6.747 | 13.1 | 49.9 |
| 0 1 2 | 5.182 | 17.1 | 53.1 |
| 1 0 4 | 3.877 | 22.9 | 38.5 |
| 2 -1 3 | 3.095 | 28.8 | 58.1 |
| 2 -1 6 | 2.423 | 37.1 | 100.0 |
| 3 0 0 | 2.011 | 45.1 | 42.3 |

Cell and atoms:
abc: 6.9660 6.9660 20.2396
angles: 90.00 90.00 120.00
Space group R-3 (No. 148, hexagonal axes)
Unique sites:
K 0.0000 0.0000 0.1470 (multiplicity 6)
Nb 0.0000 0.0000 0.3356 (multiplicity 6)
Cl 0.0063 0.6306 0.9303 (multiplicity 18)



(3)
The following is a simulated powder diffraction line list of NaCu3SnS4. It was derived from a structure optimized by DFT (PBE), using Cu Kα X-rays.

Top 6 peaks for 10° ≤ 2θ ≤ 90°, low angle first:
| (hkl) | d [Å] | 2θ (°) | intensity |
| --- | --- | --- | --- |
| 0 1 1 | 5.747 | 15.4 | 100.0 |
| 1 2 0 | 3.080 | 29.0 | 18.7 |
| 2 1 0 | 2.577 | 34.8 | 28.4 |
| 0 0 4 | 2.261 | 39.9 | 25.6 |
| 2 2 1 | 2.073 | 43.7 | 26.4 |
| 2 2 -3 | 1.932 | 47.0 | 26.8 |

Cell and atoms:
abc: 5.5994 7.4392 9.2245
angles: 90.00 101.19 90.00
Space group P2_1/m (No. 11)
Unique sites:
Na 0.2158 0.2500 0.3747 (multiplicity 2)
Cu 0.3003 0.5693 0.0266 (multiplicity 4)
Cu 0.4033 0.7500 0.2746 (multiplicity 2)
Sn 0.1279 0.2500 0.7768 (multiplicity 2)
S 0.0349 0.2500 0.0282 (multiplicity 2)
S 0.1714 0.7500 0.4474 (multiplicity 2)
S 0.3976 0.5157 0.7809 (multiplicity 4)



(4)
The following is a simulated powder diffraction line list of YAg2WS6. It was derived from a structure optimized by DFT (PBE), using Cu Kα X-rays.

Top 6 peaks for 10° ≤ 2θ ≤ 90°, low angle first:
| (hkl) | d [Å] | 2θ (°) | intensity |
| --- | --- | --- | --- |
| 2 2 0 | 3.509 | 25.4 | 100.0 |
| 4 0 0 | 2.481 | 36.2 | 50.8 |
| 4 2 2 | 2.026 | 44.7 | 43.4 |
| 4 4 0 | 1.754 | 52.1 | 33.6 |
| 6 2 0 | 1.569 | 58.9 | 19.9 |
| 6 4 2 | 1.326 | 71.1 | 22.0 |

Cell and atoms:
abc: 9.9236 9.9236 9.9236
angles: 90.00 90.00 90.00
Space group Fm-3m (No. 225)
Unique sites:
Y 0.0000 0.0000 0.0000 (multiplicity 4)
Ag 0.2500 0.2500 0.2500 (multiplicity 8)
W 0.0000 0.0000 0.5000 (multiplicity 4)
S 0.0000 0.0000 0.2635 (multiplicity 24)



(5)
The following is a simulated powder diffraction line list of Gd2GaFeCl2. It was derived from a structure optimized by DFT (PBE), using Cu Kα X-rays.

Top 6 peaks for 10° ≤ 2θ ≤ 90°, low angle first:
| (hkl) | d [Å] | 2θ (°) | intensity |
| --- | --- | --- | --- |
| 1 0 0 | 3.517 | 25.3 | 36.3 |
| 0 1 2 | 2.927 | 30.5 | 75.3 |
| 1 0 3 | 2.487 | 36.1 | 100.0 |
| 1 1 0 | 2.031 | 44.6 | 46.5 |
| 0 2 3 | 1.573 | 58.7 | 27.2 |
| 2 1 3 | 1.244 | 76.6 | 23.2 |

Cell and atoms:
abc: 4.0611 4.0611 10.5543
angles: 90.00 90.00 120.00
Space group P3m1 (No. 156)
Unique sites:
Gd 0.0000 0.0000 0.0000 (multiplicity 1)
Gd 0.0000 0.0000 0.3705 (multiplicity 1)
Ga 0.6667 0.3333 0.1900 (multiplicity 1)
Fe 0.3333 0.6667 0.1870 (multiplicity 1)
Cl 0.3333 0.6667 0.5296 (multiplicity 1)
Cl 0.6667 0.3333 0.8429 (multiplicity 1)



(6)
The following is a simulated powder diffraction line list of ZnPd18. It was derived from a structure optimized by DFT (PBE), using Cu Kα X-rays.

Top 6 peaks for 10° ≤ 2θ ≤ 90°, low angle first:
| (hkl) | d [Å] | 2θ (°) | intensity |
| --- | --- | --- | --- |
| 0 1 14 | 2.333 | 38.6 | 79.5 |
| 2 1 0 | 2.270 | 39.7 | 100.0 |
| 0 1 15 | 2.230 | 40.4 | 61.1 |
| 2 0 14 | 2.022 | 44.8 | 51.5 |
| 0 2 0 | 1.936 | 46.9 | 42.7 |
| 4 0 0 | 1.399 | 66.9 | 45.1 |

Cell and atoms:
abc: 5.6011 3.8739 40.9080
angles: 90.00 90.00 90.00
Space group P2_1/m (No. 11)
Unique sites:
Zn 0.1250 0.2500 0.3205 (multiplicity 2)
Pd 0.1250 0.2500 0.0519 (multiplicity 2)
Pd 0.1250 0.2500 0.1211 (multiplicity 2)
Pd 0.1250 0.2500 0.1899 (multiplicity 2)
Pd 0.1250 0.2500 0.2585 (multiplicity 2)
Pd 0.1250 0.2500 0.9135 (multiplicity 2)
Pd 0.1250 0.2500 0.9827 (multiplicity 2)
Pd 0.1256 0.2500 0.7044 (multiplicity 2)
Pd 0.1256 0.2500 0.8442 (multiplicity 2)
Pd 0.1271 0.2500 0.7750 (multiplicity 2)
Pd 0.3750 0.7500 0.0173 (multiplicity 2)
Pd 0.3750 0.7500 0.0865 (multiplicity 2)
Pd 0.3751 0.7500 0.7385 (multiplicity 2)
Pd 0.3750 0.7500 0.8092 (multiplicity 2)
Pd 0.3750 0.7500 0.8788 (multiplicity 2)
Pd 0.3750 0.7500 0.9481 (multiplicity 2)
Pd 0.3757 0.7500 0.1557 (multiplicity 2)
Pd 0.3756 0.7500 0.2956 (multiplicity 2)
Pd 0.3771 0.7500 0.2250 (multiplicity 2)



(7)
The following is a simulated powder diffraction line list of Ta2Si3Mo4N3. It was derived from a structure optimized by DFT (PBE), using Cu Kα X-rays.

Top 6 peaks for 10° ≤ 2θ ≤ 90°, low angle first:
| (hkl) | d [Å] | 2θ (°) | intensity |
| --- | --- | --- | --- |
| 0 0 2 | 6.367 | 13.9 | 49.1 |
| 0 0 4 | 3.183 | 28.0 | 61.9 |
| 3 1 0 | 2.558 | 35.1 | 66.7 |
| 0 2 3 | 2.272 | 39.7 | 95.6 |
| 3 1 -4 | 2.228 | 40.5 | 97.4 |
| 3 1 2 | 2.220 | 40.6 | 100.0 |

Cell and atoms:
abc: 8.9587 5.3806 13.0927
angles: 90.00 103.46 90.00
Space group C2/c (No. 15)
Unique sites:
Ta 0.0523 0.0852 0.3888 (multiplicity 8)
Si 0.0000 0.4604 0.2500 (multiplicity 4)
Si 0.1958 0.1220 0.7493 (multiplicity 8)
Mo 0.1139 0.4393 0.5904 (multiplicity 8)
Mo 0.2094 0.4148 0.9085 (multiplicity 8)
N 0.0719 0.2197 0.9994 (multiplicity 8)
N 0.2500 0.2500 0.5000 (multiplicity 4)



(8)
The following is a simulated powder diffraction line list of ScAlNiPt. It was derived from a structure optimized by DFT (PBE), using Cu Kα X-rays.

Top 6 peaks for 10° ≤ 2θ ≤ 90°, low angle first:
| (hkl) | d [Å] | 2θ (°) | intensity |
| --- | --- | --- | --- |
| 1 1 1 | 3.601 | 24.7 | 36.9 |
| 2 0 0 | 3.118 | 28.6 | 41.0 |
| 2 2 0 | 2.205 | 40.9 | 100.0 |
| 3 1 1 | 1.880 | 48.4 | 19.4 |
| 4 0 0 | 1.559 | 59.3 | 16.5 |
| 4 2 2 | 1.273 | 74.5 | 33.0 |

Cell and atoms:
abc: 6.2367 6.2367 6.2367
angles: 90.00 90.00 90.00
Space group F-43m (No. 216)
Unique sites:
Sc 0.0000 0.0000 0.0000 (multiplicity 4)
Al 0.0000 0.0000 0.5000 (multiplicity 4)
Ni 0.2500 0.2500 0.7500 (multiplicity 4)
Pt 0.2500 0.2500 0.2500 (multiplicity 4)



(9)
The following is a simulated powder diffraction line list of Sn2Pt2W3. It was derived from a structure optimized by DFT (PBE), using Cu Kα X-rays.

Top 6 peaks for 10° ≤ 2θ ≤ 90°, low angle first:
| (hkl) | d [Å] | 2θ (°) | intensity |
| --- | --- | --- | --- |
| 0 0 2 | 8.006 | 11.1 | 28.9 |
| 1 1 0 | 2.229 | 40.5 | 98.4 |
| 1 0 6 | 2.195 | 41.1 | 100.0 |
| 2 0 6 | 1.564 | 59.1 | 35.0 |
| 2 1 6 | 1.280 | 74.0 | 36.4 |
| 1 1 12 | 1.145 | 84.7 | 22.4 |

Cell and atoms:
abc: 4.4578 4.4578 16.0114
angles: 90.00 90.00 120.00
Space group P6_3/mmc (No. 194)
Unique sites:
Sn 0.3333 0.6667 0.0751 (multiplicity 4)
Pt 0.0000 0.0000 0.0000 (multiplicity 2)
Pt 0.3333 0.6667 0.2500 (multiplicity 2)
W 0.0000 0.0000 0.1702 (multiplicity 4)
W 0.3333 0.6667 0.7500 (multiplicity 2)



(10)
The following is a simulated powder diffraction line list of Sc2Al2ZnCd. It was derived from a structure optimized by DFT (PBE), using Cu Kα X-rays.

Top 6 peaks for 10° ≤ 2θ ≤ 90°, low angle first:
| (hkl) | d [Å] | 2θ (°) | intensity |
| --- | --- | --- | --- |
| 1 1 1 | 3.652 | 24.4 | 100.0 |
| 3 1 -1 | 2.239 | 40.3 | 77.4 |
| 0 2 0 | 2.231 | 40.4 | 38.5 |
| 2 0 6 | 1.914 | 47.5 | 15.8 |
| 1 1 -7 | 1.904 | 47.8 | 31.1 |
| 2 2 -6 | 1.578 | 58.5 | 12.1 |

Cell and atoms:
abc: 7.7645 4.4583 14.8393
angles: 90.00 99.67 90.00
Space group Pm (No. 6)
Unique sites:
Sc 0.0000 0.0000 0.0000 (multiplicity 1)
Sc 0.0082 0.5000 0.4922 (multiplicity 1)
Sc 0.2342 0.0000 0.7353 (multiplicity 1)
Sc 0.2461 0.5000 0.2408 (multiplicity 1)
Sc 0.4806 0.0000 0.4835 (multiplicity 1)
Sc 0.4994 0.5000 0.9999 (multiplicity 1)
Sc 0.7427 0.0000 0.2356 (multiplicity 1)
Sc 0.7582 0.5000 0.7387 (multiplicity 1)
Al 0.1206 0.5000 0.8610 (multiplicity 1)
Al 0.1247 0.0000 0.3630 (multiplicity 1)
Al 0.3633 0.5000 0.6101 (multiplicity 1)
Al 0.3717 0.0000 0.1213 (multiplicity 1)
Al 0.6117 0.5000 0.3624 (multiplicity 1)
Al 0.6209 0.0000 0.8652 (multiplicity 1)
Al 0.8743 0.5000 0.1222 (multiplicity 1)
Al 0.8781 0.0000 0.6154 (multiplicity 1)
Zn 0.0602 0.5000 0.6756 (multiplicity 1)
Zn 0.0607 0.0000 0.1826 (multiplicity 1)
Zn 0.3062 0.5000 0.4246 (multiplicity 1)
Zn 0.5578 0.5000 0.1819 (multiplicity 1)
Cd 0.3083 0.0000 0.9275 (multiplicity 1)
Cd 0.5571 0.0000 0.6752 (multiplicity 1)
Cd 0.8073 0.0000 0.4266 (multiplicity 1)
Cd 0.8099 0.5000 0.9294 (multiplicity 1)



(11)
The following is a simulated powder diffraction line list of DyHoCSe. It was derived from a structure optimized by DFT (PBE), using Cu Kα X-rays.

Top 6 peaks for 10° ≤ 2θ ≤ 90°, low angle first:
| (hkl) | d [Å] | 2θ (°) | intensity |
| --- | --- | --- | --- |
| 1 0 0 | 3.247 | 27.5 | 28.6 |
| 1 0 3 | 2.616 | 34.3 | 100.0 |
| 1 1 0 | 1.875 | 48.6 | 28.3 |
| 2 0 3 | 1.524 | 60.8 | 19.1 |
| 1 1 6 | 1.429 | 65.3 | 15.2 |
| 2 1 3 | 1.183 | 81.4 | 16.8 |

Cell and atoms:
abc: 3.7497 3.7497 13.2513
angles: 90.00 90.00 120.00
Space group P-3m1 (No. 164)
Unique sites:
Dy 0.3333 0.6667 0.1002 (multiplicity 2)
Ho 0.3333 0.6667 0.4001 (multiplicity 2)
C 0.0000 0.0000 0.0000 (multiplicity 1)
C 0.0000 0.0000 0.5000 (multiplicity 1)
Se 0.3333 0.6667 0.7498 (multiplicity 2)



(12)
The following is a simulated powder diffraction line list of Er5Ni2. It was derived from a structure optimized by DFT (PBE), using Cu Kα X-rays.

Top 6 peaks for 10° ≤ 2θ ≤ 90°, low angle first:
| (hkl) | d [Å] | 2θ (°) | intensity |
| --- | --- | --- | --- |
| 2 0 2 | 2.994 | 29.8 | 61.4 |
| 0 2 1 | 2.843 | 31.5 | 60.0 |
| 5 1 0 | 2.819 | 31.7 | 100.0 |
| 4 0 -2 | 2.740 | 32.7 | 31.2 |
| 3 1 -2 | 2.720 | 32.9 | 63.0 |
| 2 2 1 | 2.633 | 34.0 | 44.6 |

Cell and atoms:
abc: 15.8951 6.2601 6.8480
angles: 90.00 96.76 90.00
Space group C2/c (No. 15)
Unique sites:
Er 0.0000 0.0689 0.2500 (multiplicity 4)
Er 0.0956 0.3899 0.9217 (multiplicity 8)
Er 0.2171 0.0678 0.3129 (multiplicity 8)
Ni 0.1101 0.2043 0.5688 (multiplicity 8)